Record 1
CaTeSeF: simulated X-ray powder pattern (a wavelength of 1.5418 Å), based on a crystal structure in Alexandria, relaxed with GGA-PBE.
No peak broadening, texture or thermal motion is included.

Cell and atoms:
Cell: 6.6417 6.6417 5.1351 Å, 112.33 112.33 32.57°
Fractional coordinates of all 4 atoms:
Ca (0.0000, 0.0000, 0.0000)
Te (0.7351, 0.7351, 0.4217)
Se (0.6587, 0.6587, 0.8526)
F (0.4322, 0.4322, 0.0741)

Top 10 peaks for 2θ = 15–90°, most intense first:
| Position (°2θ) | I_rel |
| --- | --- |
| 25.1 | 100 |
| 15.1 | 76 |
| 43.5 | 58 |
| 33.2 | 54 |
| 28.6 | 41 |
| 18.9 | 27 |
| 33.5 | 26 |
| 48.9 | 25 |
| 30.5 | 23 |
| 34.9 | 23 |

---

Record 2
CaTeSeF: simulated X-ray powder pattern (a wavelength of 1.5418 Å), based on a crystal structure in Alexandria, relaxed with GGA-PBE.
No peak broadening, texture or thermal motion is included.

Cell and atoms:
Cell: 3.8413 5.6906 4.5300 Å, 90.00 90.00 90.00°
Fractional coordinates of all 4 atoms:
Ca (0.0000, 0.0000, 0.0000)
Te (0.5000, 0.5000, 0.7175)
Se (0.0000, 0.5000, 0.2238)
F (0.5000, 0.0000, 0.2192)

Top 10 peaks for 2θ = 15–90°, most intense first:
| Position (°2θ) | I_rel |
| --- | --- |
| 34.4 | 100 |
| 15.6 | 70 |
| 30.5 | 55 |
| 31.4 | 47 |
| 44.4 | 39 |
| 57.9 | 37 |
| 43.0 | 28 |
| 25.1 | 18 |
| 68.8 | 16 |
| 65.8 | 15 |

---

Record 3
CaTlTe2SeF: simulated X-ray powder pattern (a wavelength of 1.5418 Å), based on a crystal structure in Alexandria, relaxed with GGA-PBE.
No peak broadening, texture or thermal motion is included.

Cell and atoms:
Cell: 4.1805 5.8250 7.5745 Å, 81.14 89.81 89.81°
Fractional coordinates of all 6 atoms:
Ca (0.0000, 0.0000, 0.0000)
Tl (0.4944, 0.4555, 0.3140)
Te (0.4942, 0.7042, 0.7111)
Te (0.9957, 0.9330, 0.4605)
Se (0.9950, 0.5109, 0.9590)
F (0.4993, 0.0176, 0.0811)

Top 10 peaks for 2θ = 15–90°, most intense first:
| Position (°2θ) | I_rel |
| --- | --- |
| 30.0 | 100 |
| 26.3 | 96 |
| 32.1 | 88 |
| 31.5 | 43 |
| 15.4 | 37 |
| 17.9 | 35 |
| 41.4 | 32 |
| 43.3 | 31 |
| 41.6 | 23 |
| 31.1 | 22 |

---

Record 4
CaTlTe2SeF: simulated X-ray powder pattern (a wavelength of 1.5418 Å), based on a crystal structure in Alexandria, relaxed with GGA-PBE.
No peak broadening, texture or thermal motion is included.

Cell and atoms:
Cell: 4.1342 6.6325 7.2174 Å, 71.77 76.04 75.73°
Fractional coordinates of all 6 atoms:
Ca (0.0000, 0.0000, 0.0000)
Tl (0.2823, 0.3676, 0.4266)
Te (0.4082, 0.7216, 0.6862)
Te (0.8250, 0.5191, 0.0004)
Se (0.8893, 0.9477, 0.4307)
F (0.4988, 0.0891, 0.9240)

Top 10 peaks for 2θ = 15–90°, most intense first:
| Position (°2θ) | I_rel |
| --- | --- |
| 28.3 | 100 |
| 31.9 | 79 |
| 28.2 | 62 |
| 26.4 | 62 |
| 33.3 | 61 |
| 29.7 | 55 |
| 31.4 | 52 |
| 16.6 | 49 |
| 39.7 | 40 |
| 23.7 | 34 |

---

Record 5
CaTlTe2SeF: simulated X-ray powder pattern (a wavelength of 1.5418 Å), based on a crystal structure in Alexandria, relaxed with GGA-PBE.
No peak broadening, texture or thermal motion is included.

Cell and atoms:
Cell: 6.6446 4.0432 8.3272 Å, 90.00 104.68 90.00°
Fractional coordinates of all 6 atoms:
Ca (0.0000, 0.0000, 0.0000)
Tl (0.5180, 0.5000, 0.3536)
Te (0.4992, 0.0000, 0.0107)
Te (0.6178, 0.5000, 0.7820)
Se (0.8069, 0.0000, 0.6255)
F (0.0723, 0.5000, 0.1114)

Top 10 peaks for 2θ = 15–90°, most intense first:
| Position (°2θ) | I_rel |
| --- | --- |
| 31.3 | 100 |
| 35.2 | 70 |
| 31.9 | 69 |
| 15.3 | 53 |
| 24.6 | 40 |
| 27.8 | 40 |
| 26.9 | 39 |
| 47.1 | 38 |
| 37.8 | 38 |
| 26.0 | 37 |

---

Record 6
CaTlTe2SeF: simulated X-ray powder pattern (a wavelength of 1.5418 Å), based on a crystal structure in Alexandria, relaxed with GGA-PBE.
No peak broadening, texture or thermal motion is included.

Cell and atoms:
Cell: 4.2650 6.1496 6.9390 Å, 81.91 84.09 83.88°
Fractional coordinates of all 6 atoms:
Ca (0.0000, 0.0000, 0.0000)
Tl (0.4121, 0.3912, 0.3391)
Te (0.4933, 0.6828, 0.7320)
Te (0.9608, 0.9516, 0.5014)
Se (0.9390, 0.5034, 0.9931)
F (0.4820, 0.0469, 0.0691)

Top 10 peaks for 2θ = 15–90°, most intense first:
| Position (°2θ) | I_rel |
| --- | --- |
| 18.2 | 100 |
| 29.6 | 97 |
| 29.9 | 84 |
| 32.2 | 79 |
| 28.2 | 64 |
| 30.7 | 57 |
| 26.8 | 50 |
| 42.8 | 40 |
| 35.2 | 37 |
| 42.4 | 36 |

---

Record 7
Ca3SiF: simulated X-ray powder pattern (a wavelength of 1.5418 Å), based on a crystal structure in Alexandria, relaxed with GGA-PBE.
No peak broadening, texture or thermal motion is included.

Cell and atoms:
Cell: 7.9986 3.5763 9.5948 Å, 90.00 104.28 90.00°
Fractional coordinates of all 10 atoms:
Ca (0.0377, 0.2500, 0.3301)
Ca (0.2760, 0.2500, 0.0321)
Ca (0.3810, 0.7500, 0.6242)
Ca (0.6190, 0.2500, 0.3758)
Ca (0.7240, 0.7500, 0.9679)
Ca (0.9623, 0.7500, 0.6699)
Si (0.3134, 0.7500, 0.2931)
Si (0.6866, 0.2500, 0.7069)
F (0.1369, 0.2500, 0.5859)
F (0.8631, 0.7500, 0.4141)

Top 10 peaks for 2θ = 15–90°, most intense first:
| Position (°2θ) | I_rel |
| --- | --- |
| 33.9 | 100 |
| 28.8 | 86 |
| 34.1 | 50 |
| 42.3 | 47 |
| 30.1 | 42 |
| 26.0 | 40 |
| 51.3 | 34 |
| 31.9 | 31 |
| 51.1 | 28 |
| 41.1 | 28 |

---

Record 8
Ca10Si6F: simulated X-ray powder pattern (a wavelength of 1.5418 Å), based on a crystal structure in Alexandria, relaxed with GGA-PBE.
No peak broadening, texture or thermal motion is included.

Cell and atoms:
Cell: 9.1121 9.1121 9.1121 Å, 130.32 130.32 72.89°
Fractional coordinates of all 17 atoms:
Ca (0.0702, 0.7114, 0.0000)
Ca (0.2296, 0.2296, 0.6628)
Ca (0.2500, 0.7500, 0.5000)
Ca (0.2886, 0.2886, 0.3587)
Ca (0.4332, 0.7704, 0.0000)
Ca (0.5668, 0.5668, 0.3372)
Ca (0.7114, 0.0702, 0.0000)
Ca (0.7500, 0.2500, 0.5000)
Ca (0.7704, 0.4332, 0.0000)
Ca (0.9298, 0.9298, 0.6413)
Si (0.0000, 0.5000, 0.5000)
Si (0.1349, 0.3594, 0.0000)
Si (0.3594, 0.1349, 0.0000)
Si (0.5000, 0.0000, 0.5000)
Si (0.6406, 0.6406, 0.7756)
Si (0.8651, 0.8651, 0.2244)
F (0.5000, 0.5000, 0.0000)

Top 10 peaks for 2θ = 15–90°, most intense first:
| Position (°2θ) | I_rel |
| --- | --- |
| 31.9 | 100 |
| 33.9 | 59 |
| 37.1 | 38 |
| 33.1 | 20 |
| 67.4 | 20 |
| 56.9 | 14 |
| 52.7 | 13 |
| 26.7 | 12 |
| 49.5 | 11 |
| 36.8 | 11 |

---

Which formula does entry 7 have?
Ca3SiF